Starting from a cell relaxed with PBE, the powder X-ray diffraction pattern of Dy2Zn2O5 was computed for λ = 1.5418 Å (Cu Kα).
Neutral-atom scattering factors, no anomalous dispersion.

Cell and atoms:
Unit cell a=3.9005 b=3.9005 c=7.0314 alpha=90.00 beta=90.00 gamma=90.00
Element x y z (fractional)
Dy (0.0000, 0.0000, 0.0000)
Dy (0.0000, 0.0000, 0.5000)
Zn (0.5000, 0.5000, 0.2248)
Zn (0.5000, 0.5000, 0.7752)
O (0.0000, 0.5000, 0.2032)
O (0.0000, 0.5000, 0.7968)
O (0.5000, 0.0000, 0.2032)
O (0.5000, 0.0000, 0.7968)
O (0.5000, 0.5000, 0.5000)

Main lines, low angle first (15° ≤ 2θ ≤ 90°):
d [Å]	2theta	I (rel.)	(hkl)
3.901	22.80	18	1 0 0
2.758	32.46	51	1 1 0
2.611	34.34	100	1 0 2
2.170	41.62	19	1 1 2
1.950	46.57	32	2 0 0
1.563	59.12	42	2 1 2
1.482	62.67	16	1 1 4
1.379	67.98	10	2 2 0
1.306	72.37	13	2 0 4
1.219	78.42	9	3 0 2